Starting from the GGA-PBE geometry in Alexandria, the powder X-ray diffraction pattern of NdSc4Si4 was simulated for Cu Kα.
Neutral-atom scattering factors, no anomalous dispersion.

Main lines, sorted by position (10° ≤ 2θ ≤ 80°):
(1 0 2), 2θ = 17.8°, I = 323; (1 1 1), 2θ = 18.5°, I = 422; (2 1 1), 2θ = 28.6°, I = 328; (1 2 3), 2θ = 33.5°, I = 838; (2 1 3), 2θ = 34.0°, I = 1000; (0 2 4), 2θ = 35.5°, I = 360; (0 0 6), 2θ = 38.8°, I = 503; (3 1 0), 2θ = 40.0°, I = 335

Atomic structure:
Lattice parameters (Å, degrees): 7.111 7.353 13.936 90.00 90.00 90.00
Space group P2_12_12_1 (No. 19)
Inequivalent atoms, fractional coordinates:
Nd: 0.234 0.175 0.158 [4 per cell]
Sc: 0.071 0.673 0.877 [4 per cell]
Sc: 0.075 0.679 0.127 [4 per cell]
Sc: 0.096 0.504 0.501 [4 per cell]
Sc: 0.224 0.183 0.855 [4 per cell]
Si: 0.026 0.373 0.002 [4 per cell]
Si: 0.089 0.460 0.712 [4 per cell]
Si: 0.112 0.477 0.295 [4 per cell]
Si: 0.225 0.114 0.498 [4 per cell]

=====

Starting from the GGA-PBE geometry in Alexandria, the powder X-ray diffraction pattern of Nd3Sm4Sc was simulated for Cu Kα.
Neutral-atom scattering factors, no anomalous dispersion.

Main lines, sorted by position (10° ≤ 2θ ≤ 80°):
(1 1 2), 2θ = 29.9°, I = 421; (0 4 0), 2θ = 30.4°, I = 1000; (0 2 4), 2θ = 31.5°, I = 908; (1 0 3), 2θ = 32.8°, I = 195; (1 2 3), 2θ = 36.3°, I = 218; (1 3 2), 2θ = 37.1°, I = 245; (0 6 4), 2θ = 54.8°, I = 200; (2 2 4), 2θ = 62.1°, I = 258

Atomic structure:
Lattice parameters (Å, degrees): 3.514 11.742 12.994 90.00 90.00 90.00
Space group Immm (No. 71)
Inequivalent atoms, fractional coordinates:
Nd: 0.000 0.000 0.000 [2 per cell]
Nd: 0.000 0.500 0.238 [4 per cell]
Sm: 0.000 0.244 0.367 [8 per cell]
Sc: 0.000 0.000 0.500 [2 per cell]

=====

Starting from the GGA-PBE geometry in Alexandria, the powder X-ray diffraction pattern of Nd2Sm4Sc was simulated for Cu Kα.
Neutral-atom scattering factors, no anomalous dispersion.

Main lines, sorted by position (10° ≤ 2θ ≤ 80°):
(1 2 0), 2θ = 30.5°, I = 1000; (2 0 -2), 2θ = 30.6°, I = 330; (2 -1 1), 2θ = 35.3°, I = 451; (1 3 -3), 2θ = 35.4°, I = 221; (-3 3 1), 2θ = 50.9°, I = 315; (2 -2 4), 2θ = 60.3°, I = 95; (3 -4 2), 2θ = 60.4°, I = 141; (-3 2 4), 2θ = 60.5°, I = 278

Atomic structure:
Lattice parameters (Å, degrees): 6.212 9.490 9.492 115.26 108.83 96.35
Space group P1 (No. 1)
Inequivalent atoms, fractional coordinates:
Nd: 0.000 0.000 0.000 [1 per cell]
Nd: 0.000 0.500 0.500 [1 per cell]
Nd: 0.150 0.432 0.141 [1 per cell]
Nd: 0.428 0.779 0.929 [1 per cell]
Sm: 0.145 0.932 0.642 [1 per cell]
Sm: 0.284 0.853 0.285 [1 per cell]
Sm: 0.424 0.285 0.432 [1 per cell]
Sm: 0.573 0.221 0.071 [1 per cell]
Sm: 0.577 0.715 0.568 [1 per cell]
Sm: 0.716 0.147 0.715 [1 per cell]
Sm: 0.850 0.568 0.858 [1 per cell]
Sm: 0.857 0.069 0.359 [1 per cell]
Sc: 0.288 0.358 0.789 [1 per cell]
Sc: 0.714 0.641 0.211 [1 per cell]

=====

Starting from the GGA-PBE geometry in Alexandria, the powder X-ray diffraction pattern of Nd4Sm3Sc2 was simulated for Cu Kα.
Neutral-atom scattering factors, no anomalous dispersion.

Main lines, sorted by position (10° ≤ 2θ ≤ 80°):
(3 1 0), 2θ = 30.7°, I = 1000; (2 0 3), 2θ = 35.5°, I = 339; (4 0 -3), 2θ = 35.8°, I = 165; (2 2 3), 2θ = 51.0°, I = 119; (6 0 0), 2θ = 51.3°, I = 176; (3 3 0), 2θ = 60.7°, I = 211; (7 1 -3), 2θ = 61.2°, I = 140; (6 2 0), 2θ = 63.9°, I = 123

Atomic structure:
Lattice parameters (Å, degrees): 11.233 5.058 10.708 90.00 107.92 90.00
Space group C2/m (No. 12)
Inequivalent atoms, fractional coordinates:
Nd: 0.001 0.000 0.170 [4 per cell]
Nd: 0.167 0.500 0.390 [4 per cell]
Sm: 0.000 0.000 0.500 [2 per cell]
Sm: 0.168 0.500 0.055 [4 per cell]
Sc: 0.168 0.500 0.723 [4 per cell]

=====

Starting from the GGA-PBE geometry in Alexandria, the powder X-ray diffraction pattern of Nd12Sm2Sc was simulated for Cu Kα.
Neutral-atom scattering factors, no anomalous dispersion.

Main lines, sorted by position (10° ≤ 2θ ≤ 80°):
(2 0 2), 2θ = 27.6°, I = 1000; (1 1 6), 2θ = 28.9°, I = 521; (2 0 4), 2θ = 30.5°, I = 468; (1 1 7), 2θ = 31.9°, I = 338; (0 0 9), 2θ = 33.0°, I = 333; (2 0 6), 2θ = 34.7°, I = 328; (2 2 0), 2θ = 38.0°, I = 543; (3 1 8), 2θ = 52.6°, I = 334

Atomic structure:
Lattice parameters (Å, degrees): 6.693 6.693 24.425 90.00 90.00 90.00
Space group P4/nbm (No. 125, origin choice 2)
Inequivalent atoms, fractional coordinates:
Nd: 0.002 0.502 0.099 [8 per cell]
Nd: 0.083 0.583 0.564 [8 per cell]
Nd: 0.250 0.250 0.202 [4 per cell]
Nd: 0.250 0.250 0.329 [4 per cell]
Sm: 0.250 0.750 0.245 [4 per cell]
Sc: 0.250 0.750 0.000 [2 per cell]

=====

Starting from the GGA-PBE geometry in Alexandria, the powder X-ray diffraction pattern of NdSm6Sc3 was simulated for Cu Kα.
Neutral-atom scattering factors, no anomalous dispersion.

Main lines, sorted by position (10° ≤ 2θ ≤ 80°):
(1 1 3), 2θ = 29.6°, I = 1000; (3 0 0), 2θ = 31.8°, I = 930; (2 2 3), 2θ = 44.0°, I = 339; (4 1 3), 2θ = 55.3°, I = 345; (3 3 0), 2θ = 56.7°, I = 177; (3 0 6), 2θ = 58.1°, I = 244; (6 0 0), 2θ = 66.5°, I = 108; (5 2 3), 2θ = 74.4°, I = 142

Atomic structure:
Lattice parameters (Å, degrees): 9.7469 9.7469 11.5293 90.00 90.00 120.00
Space group R32 (No. 155, hexagonal axes)
Inequivalent atoms, fractional coordinates:
Nd: 0.0000 0.0000 0.0000 [3 per cell]
Sm: 0.0000 0.3382 0.0000 [9 per cell]
Sm: 0.0001 0.6667 0.1667 [9 per cell]
Sc: 0.0000 0.0000 0.2603 [6 per cell]
Sc: 0.0000 0.0000 0.5000 [3 per cell]